This entry pairs a crystal structure of Ba2NaHg10 with its calculated X-ray diffraction stick pattern. Radiation: Cu Kα X-rays. Structure: a DFT-relaxed cell (PBE, Alexandria).

Crystal structure
abc: 11.522 13.508 5.948
angles: 90.00 90.00 90.00
Space group Pbam (No. 55)
Unique sites:
Ba1 0.131 0.162 0.000 (multiplicity 4)
Na1 0.000 0.500 0.500 (multiplicity 2)
Hg1 0.031 0.891 0.500 (multiplicity 4)
Hg2 0.093 0.695 0.248 (multiplicity 8)
Hg3 0.184 0.318 0.500 (multiplicity 4)
Hg4 0.235 0.034 0.500 (multiplicity 4)

Peak list (6 most intense, 2θ = 5–70°, in order of rising 2θ)
| Position (°2θ) | intensity | hkl |
| --- | --- | --- |
| 14.9 | 100 | 0 0 1 |
| 31.4 | 49 | 1 4 1 |
| 31.8 | 74 | 4 1 0 |
| 34.2 | 62 | 3 3 1 |
| 34.6 | 99 | 2 1 2 |
| 35.4 | 57 | 3 4 0 |

---

This entry pairs a crystal structure of La2Dy7Y with its calculated X-ray diffraction stick pattern. Radiation: Cu Kα X-rays. Structure: a DFT-relaxed cell (PBE, Alexandria).

Crystal structure
abc: 6.573 28.986 3.524
angles: 90.00 90.00 90.00
Space group Cmmm (No. 65)
Unique sites:
La1 0.000 0.207 0.000 (multiplicity 4)
Dy1 0.000 0.000 0.000 (multiplicity 2)
Dy2 0.000 0.316 0.500 (multiplicity 4)
Dy3 0.245 0.403 0.000 (multiplicity 8)
Y1 0.000 0.500 0.500 (multiplicity 2)

Peak list (6 most intense, 2θ = 5–70°, in order of rising 2θ)
| Position (°2θ) | intensity | hkl |
| --- | --- | --- |
| 29.8 | 66 | 2 4 0 |
| 30.9 | 88 | 0 10 0 |
| 31.4 | 43 | 0 6 1 |
| 32.7 | 100 | 1 5 1 |
| 33.0 | 85 | 2 6 0 |
| 39.5 | 46 | 2 4 1 |

---

This entry pairs a crystal structure of DyH8Pd4Pt with its calculated X-ray diffraction stick pattern. Radiation: Cu Kα X-rays. Structure: a DFT-relaxed cell (PBE, Alexandria).

Crystal structure
abc: 5.7439 5.7439 14.2755
angles: 90.00 90.00 120.00
Space group R3m (No. 160, hexagonal axes)
Unique sites:
Dy1 0.0000 0.0000 0.0000 (multiplicity 3)
H1 0.0000 0.0000 0.3880 (multiplicity 3)
H2 0.0000 0.0000 0.8485 (multiplicity 3)
H3 0.0840 0.5420 0.3838 (multiplicity 9)
H4 0.1810 0.3620 0.2129 (multiplicity 9)
Pd1 0.0000 0.0000 0.2543 (multiplicity 3)
Pd2 0.0051 0.5025 0.1276 (multiplicity 9)
Pt1 0.0000 0.0000 0.6253 (multiplicity 3)

Peak list (6 most intense, 2θ = 5–70°, in order of rising 2θ)
| Position (°2θ) | intensity | hkl |
| --- | --- | --- |
| 31.1 | 39 | 1 1 0 |
| 36.3 | 47 | 0 1 5 |
| 36.5 | 100 | 1 1 3 |
| 38.3 | 45 | 2 0 2 |
| 59.0 | 25 | 0 3 3 |
| 64.2 | 24 | 2 0 8 |

---

This entry pairs a crystal structure of KAg2SbS3 with its calculated X-ray diffraction stick pattern. Radiation: Cu Kα X-rays. Structure: a DFT-relaxed cell (PBE, Alexandria).

Crystal structure
abc: 6.866 9.535 11.053
angles: 91.25 92.44 90.19
Space group P-1 (No. 2)
Unique sites:
K1 0.201 0.421 0.127 (multiplicity 2)
K2 0.293 0.570 0.631 (multiplicity 2)
Ag1 0.003 0.108 0.337 (multiplicity 2)
Ag2 0.096 0.832 0.047 (multiplicity 2)
Ag3 0.412 0.160 0.552 (multiplicity 2)
Ag4 0.481 0.268 0.858 (multiplicity 2)
Sb1 0.049 0.795 0.342 (multiplicity 2)
Sb2 0.474 0.945 0.853 (multiplicity 2)
S1 0.113 0.304 0.483 (multiplicity 2)
S2 0.119 0.334 0.831 (multiplicity 2)
S3 0.165 0.083 0.137 (multiplicity 2)
S4 0.356 0.659 0.335 (multiplicity 2)
S5 0.367 0.712 0.924 (multiplicity 2)
S6 0.370 0.913 0.638 (multiplicity 2)

Peak list (6 most intense, 2θ = 5–70°, in order of rising 2θ)
| Position (°2θ) | intensity | hkl |
| --- | --- | --- |
| 9.3 | 100 | 0 1 0 |
| 26.0 | 26 | 2 0 0 |
| 28.0 | 34 | 1 0 3 |
| 28.5 | 37 | 1 1 -3 |
| 29.1 | 37 | 0 3 -1 |
| 29.7 | 24 | 1 1 3 |

---

This entry pairs a crystal structure of Tb3S4 with its calculated X-ray diffraction stick pattern. Radiation: Cu Kα X-rays. Structure: a DFT-relaxed cell (PBE, Alexandria).

Crystal structure
abc: 14.380 3.967 6.930
angles: 90.00 116.28 90.00
Space group C2/m (No. 12)
Unique sites:
Tb1 0.000 0.000 0.000 (multiplicity 2)
Tb2 0.227 0.500 0.720 (multiplicity 4)
S1 0.125 0.000 0.437 (multiplicity 4)
S2 0.139 0.500 0.005 (multiplicity 4)

Peak list (6 most intense, 2θ = 5–70°, in order of rising 2θ)
| Position (°2θ) | intensity | hkl |
| --- | --- | --- |
| 25.7 | 55 | 2 0 -2 |
| 25.9 | 100 | 1 1 -1 |
| 30.7 | 37 | 3 1 0 |
| 37.8 | 57 | 3 1 1 |
| 38.7 | 49 | 5 1 -1 |
| 45.5 | 50 | 3 1 -3 |

---

This entry pairs a crystal structure of CaTbNi2H8 with its calculated X-ray diffraction stick pattern. Radiation: Cu Kα X-rays. Structure: a DFT-relaxed cell (PBE, Alexandria).

Crystal structure
abc: 4.5547 4.5547 18.1633
angles: 90.00 90.00 120.00
Space group R-3m (No. 166, hexagonal axes)
Unique sites:
Ca1 0.0000 0.0000 0.0000 (multiplicity 3)
Tb1 0.0000 0.0000 0.5000 (multiplicity 3)
Ni1 0.0000 0.0000 0.2294 (multiplicity 6)
H1 0.0000 0.0000 0.1427 (multiplicity 6)
H2 0.0167 0.5084 0.0618 (multiplicity 18)

Peak list (6 most intense, 2θ = 5–70°, in order of rising 2θ)
| Position (°2θ) | intensity | hkl |
| --- | --- | --- |
| 14.6 | 49 | 0 0 3 |
| 30.0 | 100 | 1 0 4 |
| 39.6 | 53 | 1 1 0 |
| 42.4 | 23 | 1 1 3 |
| 46.1 | 23 | 0 1 8 |
| 50.4 | 23 | 0 2 4 |

---

This entry pairs a crystal structure of Li3Er3PtO8 with its calculated X-ray diffraction stick pattern. Radiation: Cu Kα X-rays. Structure: a DFT-relaxed cell (PBE, Alexandria).

Crystal structure
abc: 6.5672 6.5672 14.9394
angles: 90.00 90.00 120.00
Space group R-3m (No. 166, hexagonal axes)
Unique sites:
Li1 0.0000 0.5000 0.0000 (multiplicity 9)
Er1 0.0000 0.5000 0.5000 (multiplicity 9)
Pt1 0.0000 0.0000 0.5000 (multiplicity 3)
O1 0.0000 0.0000 0.2431 (multiplicity 6)
O2 0.0261 0.5130 0.2436 (multiplicity 18)

Peak list (6 most intense, 2θ = 5–70°, in order of rising 2θ)
| Position (°2θ) | intensity | hkl |
| --- | --- | --- |
| 17.8 | 100 | 0 0 3 |
| 32.0 | 67 | 0 2 1 |
| 33.7 | 43 | 2 0 2 |
| 39.8 | 57 | 0 2 4 |
| 44.0 | 27 | 2 0 5 |
| 59.2 | 42 | 2 0 8 |

---

This entry pairs a crystal structure of NaSnPCO7 with its calculated X-ray diffraction stick pattern. Radiation: Cu Kα X-rays. Structure: a DFT-relaxed cell (PBE, Alexandria).

Crystal structure
abc: 5.125 6.579 9.280
angles: 90.00 90.23 90.00
Space group P2_1/m (No. 11)
Unique sites:
Na1 0.102 0.250 0.394 (multiplicity 2)
Sn1 0.236 0.750 0.161 (multiplicity 2)
P1 0.278 0.250 0.072 (multiplicity 2)
C1 0.378 0.750 0.425 (multiplicity 2)
O1 0.124 0.250 0.930 (multiplicity 2)
O2 0.124 0.750 0.383 (multiplicity 2)
O3 0.213 0.066 0.170 (multiplicity 4)
O4 0.428 0.750 0.968 (multiplicity 2)
O5 0.444 0.750 0.554 (multiplicity 2)
O6 0.460 0.250 0.686 (multiplicity 2)

Peak list (6 most intense, 2θ = 5–70°, in order of rising 2θ)
| Position (°2θ) | intensity | hkl |
| --- | --- | --- |
| 9.5 | 61 | 0 0 1 |
| 16.5 | 52 | 0 1 1 |
| 19.8 | 100 | 1 0 -1 |
| 26.0 | 22 | 1 0 2 |
| 27.1 | 62 | 0 2 0 |
| 33.8 | 24 | 1 2 1 |